The following is a computed X-ray powder pattern of Y3Cu3Bi4. It was derived from a cell relaxed with PBE, using Cu Kα.
No peak broadening, texture or thermal motion is included.

Atomic structure:
a b c (Å): 9.8568 9.8568 9.8568
angles (deg): 90.00 90.00 90.00
Space group I-43d (No. 220)
Inequivalent atoms, fractional coordinates:
Y 0.0000 0.2500 0.3750 x12
Cu 0.0000 0.2500 0.8750 x12
Bi 0.0827 0.0827 0.0827 x16

The 10 most intense peaks (10° ≤ 2θ ≤ 90°), in order of falling intensity:
| 2θ (°) | Rel. int. | (hkl) |
| --- | --- | --- |
| 34.0 | 100 | 3 2 1 |
| 28.6 | 47 | 3 1 0 |
| 47.0 | 29 | 4 3 1 |
| 45.1 | 27 | 4 2 2 |
| 22.1 | 24 | 2 1 1 |
| 57.6 | 14 | 6 1 1 |
| 59.3 | 14 | 6 2 0 |
| 40.9 | 12 | 4 2 0 |
| 60.9 | 11 | 5 4 1 |
| 67.2 | 11 | 7 1 0 |

The following is a computed X-ray powder pattern of Be6Fe. It was derived from a cell relaxed with PBE, using Cu Kα.
No peak broadening, texture or thermal motion is included.

Atomic structure:
a b c (Å): 6.7473 4.0943 8.1747
angles (deg): 90.00 90.00 90.00
Space group Pnma (No. 62)
Inequivalent atoms, fractional coordinates:
Be 0.0435 0.2500 0.0788 x4
Be 0.0544 0.5064 0.3037 x8
Be 0.0971 0.7500 0.5173 x4
Be 0.1601 0.2500 0.8490 x4
Be 0.2013 0.7500 0.7489 x4
Fe 0.2382 0.2500 0.5737 x4

The 10 most intense peaks (10° ≤ 2θ ≤ 90°), in order of falling intensity:
| 2θ (°) | Rel. int. | (hkl) |
| --- | --- | --- |
| 27.7 | 100 | 1 1 1 |
| 25.5 | 55 | 1 0 2 |
| 48.4 | 49 | 2 1 3 |
| 47.4 | 41 | 3 1 1 |
| 26.4 | 34 | 2 0 0 |
| 39.7 | 31 | 0 1 3 |
| 46.4 | 26 | 1 0 4 |
| 52.3 | 19 | 2 2 0 |
| 51.8 | 19 | 1 2 2 |
| 44.2 | 17 | 0 2 0 |

The following is a computed X-ray powder pattern of Zr7N4O8. It was derived from a cell relaxed with PBE, using Cu Kα.
No peak broadening, texture or thermal motion is included.

Atomic structure:
a b c (Å): 6.2250 6.2963 6.5023
angles (deg): 100.61 99.89 99.14
Space group P-1 (No. 2)
Inequivalent atoms, fractional coordinates:
Zr 0.0000 0.0000 0.0000 x1
Zr 0.1599 0.6151 0.3242 x2
Zr 0.2775 0.1262 0.6205 x2
Zr 0.3951 0.6745 0.8659 x2
N 0.0688 0.9245 0.3169 x2
N 0.4340 0.5946 0.1817 x2
O 0.0549 0.6725 0.8886 x2
O 0.1841 0.4275 0.5697 x2
O 0.3234 0.0841 0.9537 x2
O 0.4201 0.8308 0.5943 x2

The 10 most intense peaks (10° ≤ 2θ ≤ 90°), in order of falling intensity:
| 2θ (°) | Rel. int. | (hkl) |
| --- | --- | --- |
| 30.2 | 100 | 2 0 -1 |
| 29.2 | 54 | 0 1 -2 |
| 30.3 | 54 | 1 -2 0 |
| 50.7 | 33 | -3 2 1 |
| 35.0 | 24 | 2 -1 1 |
| 34.4 | 18 | -1 1 2 |
| 49.5 | 15 | 1 -3 2 |
| 49.0 | 14 | 2 1 -3 |
| 34.7 | 13 | 1 2 -1 |
| 49.1 | 13 | 1 0 3 |

The following is a computed X-ray powder pattern of RbYCuCl5. It was derived from a cell relaxed with PBE, using Cu Kα.
No peak broadening, texture or thermal motion is included.

Atomic structure:
a b c (Å): 8.8690 11.9391 10.0188
angles (deg): 90.00 112.88 90.00
Space group C2/c (No. 15)
Inequivalent atoms, fractional coordinates:
Rb 0.0000 0.1525 0.2500 x4
Y 0.0000 0.5000 0.0000 x4
Cu 0.0000 0.1899 0.7500 x4
Cl 0.0000 0.4249 0.2500 x4
Cl 0.1012 0.2975 0.6083 x8
Cl 0.1934 0.0702 0.9216 x8

The 10 most intense peaks (10° ≤ 2θ ≤ 90°), in order of falling intensity:
| 2θ (°) | Rel. int. | (hkl) |
| --- | --- | --- |
| 19.5 | 100 | 1 1 -2 |
| 21.8 | 66 | 2 0 0 |
| 24.9 | 55 | 1 3 0 |
| 24.4 | 42 | 0 2 2 |
| 28.2 | 36 | 1 3 1 |
| 46.5 | 32 | 4 0 -4 |
| 40.1 | 32 | 3 3 0 |
| 42.9 | 28 | 1 3 -4 |
| 38.0 | 25 | 2 4 -2 |
| 37.8 | 21 | 2 2 2 |

The following is a computed X-ray powder pattern of Be3Te5. It was derived from a cell relaxed with PBE, using Cu Kα.
No peak broadening, texture or thermal motion is included.

Atomic structure:
a b c (Å): 6.9855 20.7842 7.2396
angles (deg): 90.00 117.00 90.00
Space group Cm (No. 8)
Inequivalent atoms, fractional coordinates:
Be 0.0000 0.0000 0.0000 x2
Be 0.1020 0.3038 0.0320 x4
Be 0.2105 0.5000 0.4680 x2
Be 0.3886 0.0801 0.8347 x4
Te 0.0606 0.4044 0.2193 x4
Te 0.0952 0.0000 0.7206 x2
Te 0.1181 0.5000 0.7641 x2
Te 0.1538 0.0873 0.2478 x4
Te 0.2961 0.1853 0.6872 x4
Te 0.4309 0.3003 0.9887 x4

The 10 most intense peaks (10° ≤ 2θ ≤ 90°), in order of falling intensity:
| 2θ (°) | Rel. int. | (hkl) |
| --- | --- | --- |
| 29.3 | 100 | 0 6 1 |
| 22.0 | 83 | 0 4 1 |
| 30.0 | 51 | 2 2 0 |
| 25.5 | 43 | 2 0 -1 |
| 29.0 | 35 | 0 2 2 |
| 27.7 | 34 | 0 0 2 |
| 27.2 | 32 | 1 3 1 |
| 43.6 | 32 | 0 10 0 |
| 30.7 | 30 | 2 2 -2 |
| 32.3 | 29 | 1 5 1 |

The following is a computed X-ray powder pattern of Pm2Mg3Al4. It was derived from a cell relaxed with PBE, using Cu Kα.
No peak broadening, texture or thermal motion is included.

Atomic structure:
a b c (Å): 6.0663 17.0775 7.9048
angles (deg): 90.00 90.00 90.00
Space group Cmce (No. 64)
Inequivalent atoms, fractional coordinates:
Pm 0.0000 0.0956 0.1019 x8
Mg 0.0000 0.0000 0.5000 x4
Mg 0.2500 0.2416 0.7500 x8
Al 0.0000 0.1623 0.4927 x8
Al 0.2500 0.0739 0.7500 x8

The 10 most intense peaks (10° ≤ 2θ ≤ 90°), in order of falling intensity:
| 2θ (°) | Rel. int. | (hkl) |
| --- | --- | --- |
| 31.3 | 100 | 1 3 2 |
| 32.1 | 88 | 1 5 1 |
| 19.2 | 77 | 1 1 1 |
| 33.3 | 47 | 2 2 1 |
| 15.3 | 44 | 0 2 1 |
| 35.7 | 41 | 0 2 3 |
| 27.4 | 41 | 1 1 2 |
| 10.4 | 30 | 0 2 0 |
| 20.8 | 30 | 0 4 0 |
| 37.4 | 27 | 2 0 2 |